Diffraction record for Li3AlB2O6. The PXRD pattern is simulated, not measured: it uses DFT lattice parameters and positions (PBE) and Cu Kα (weighted mean of Kα1 and Kα2).
Lines closer than 0.1° are merged.

Largest 10 diffraction maxima, by angle, 2θ from 10° to 80°:
2θ/deg	I_rel
14.6	22
21.0	17
23.6	28
23.8	23
29.5	30
30.1	18
31.9	100
35.9	21
36.0	28
36.5	30

Crystal structure
```
data_Li3AlB2O6
_chemical_formula_sum 'Li6 Al2 B4 O12'
_space_group_name_H-M_alt 'P -1'
_space_group_IT_number 2
_space_group_name_Hall '-P 1'
_cell_length_a 4.919
_cell_length_b 6.329
_cell_length_c 8.046
_cell_angle_alpha 73.48
_cell_angle_beta 89.06
_cell_angle_gamma 89.10
loop_
_atom_site_label
_atom_site_fract_x
_atom_site_fract_y
_atom_site_fract_z
Li1 0.170 0.263 0.389
Li2 0.177 0.969 0.738
Li3 0.319 0.102 0.071
Al1 0.350 0.445 0.725
B1 0.165 0.676 0.093
B2 0.342 0.821 0.430
O1 0.119 0.337 0.894
O2 0.212 0.992 0.321
O3 0.227 0.704 0.591
O4 0.290 0.839 0.970
O5 0.313 0.518 0.218
O6 0.388 0.243 0.605
```